Diffraction record for PaAl2Zn4. The PXRD pattern is theoretical, not measured: it uses a DFT-relaxed cell (GGA-PBE, Alexandria) and copper Kα.
Lines closer than 0.1° are merged.

Structure:
Lattice parameters (Å, degrees): 8.623 6.872 5.050 90.00 125.83 90.00
Space group C2/m (No. 12)
Unique sites:
Pa1 0.000 0.000 0.000 [2 per cell]
Al1 0.001 0.500 0.251 [4 per cell]
Zn1 0.191 0.192 0.691 [8 per cell]

Largest 8 diffraction maxima, in order of rising 2θ, 2θ = 10–90°:
| d [Å] | 2theta | I/Imax | (hkl) |
| --- | --- | --- | --- |
| 4.901 | 18.10 | 100 | 1 1 0 |
| 2.652 | 33.81 | 95 | 1 1 1 |
| 2.632 | 34.07 | 94 | 2 2 -1 |
| 2.525 | 35.56 | 48 | 2 0 -2 |
| 2.450 | 36.67 | 80 | 2 2 0 |
| 2.244 | 40.18 | 66 | 3 1 -2 |
| 2.116 | 42.74 | 64 | 4 0 -1 |
| 2.086 | 43.37 | 61 | 1 3 -1 |

Diffraction record for PaAl10Zn2. The PXRD pattern is theoretical, not measured: it uses a DFT-relaxed cell (GGA-PBE, Alexandria) and copper Kα.
Lines closer than 0.1° are merged.

Structure:
Lattice parameters (Å, degrees): 5.364 12.627 13.124 90.00 90.00 90.00
Space group Fmmm (No. 69)
Unique sites:
Pa1 0.000 0.000 0.000 [4 per cell]
Al1 0.000 0.106 0.391 [16 per cell]
Al2 0.000 0.177 0.176 [16 per cell]
Al3 0.250 0.250 0.000 [8 per cell]
Zn1 0.250 0.000 0.250 [8 per cell]

Largest 8 diffraction maxima, in order of rising 2θ, 2θ = 10–90°:
| d [Å] | 2theta | I/Imax | (hkl) |
| --- | --- | --- | --- |
| 6.313 | 14.03 | 96 | 0 2 0 |
| 4.621 | 19.21 | 84 | 1 1 1 |
| 3.276 | 27.22 | 80 | 0 0 4 |
| 3.211 | 27.79 | 50 | 1 3 1 |
| 2.640 | 33.95 | 64 | 1 3 3 |
| 2.318 | 38.86 | 54 | 1 1 5 |
| 2.311 | 38.98 | 100 | 2 2 2 |
| 2.275 | 39.62 | 59 | 0 4 4 |

Diffraction record for Al5Pb. The PXRD pattern is theoretical, not measured: it uses a DFT-relaxed cell (GGA-PBE, Alexandria) and copper Kα.
Lines closer than 0.1° are merged.

Structure:
Lattice parameters (Å, degrees): 4.290 3.434 16.929 90.00 90.00 90.00
Space group Amm2 (No. 38)
Unique sites:
Al1 0.000 0.000 0.000 [2 per cell]
Al2 0.000 0.000 0.264 [2 per cell]
Al3 0.000 0.000 0.633 [2 per cell]
Al4 0.500 0.000 0.161 [2 per cell]
Al5 0.500 0.000 0.528 [2 per cell]
Pb1 0.500 0.000 0.862 [2 per cell]

Largest 8 diffraction maxima, in order of rising 2θ, 2θ = 10–90°:
| d [Å] | 2theta | I/Imax | (hkl) |
| --- | --- | --- | --- |
| 8.465 | 10.45 | 100 | 0 0 2 |
| 3.826 | 23.25 | 64 | 1 0 2 |
| 3.365 | 26.49 | 43 | 0 1 1 |
| 3.013 | 29.65 | 49 | 1 0 4 |
| 2.933 | 30.47 | 50 | 0 1 3 |
| 2.648 | 33.85 | 47 | 1 1 1 |
| 2.421 | 37.13 | 92 | 1 1 3 |
| 2.357 | 38.18 | 36 | 1 0 6 |

Diffraction record for AlPb3. The PXRD pattern is theoretical, not measured: it uses a DFT-relaxed cell (GGA-PBE, Alexandria) and copper Kα.
Lines closer than 0.1° are merged.

Structure:
Lattice parameters (Å, degrees): 10.909 3.467 6.229 90.00 101.12 90.00
Space group C2/m (No. 12)
Unique sites:
Al1 0.000 0.000 0.000 [2 per cell]
Pb1 0.000 0.500 0.500 [2 per cell]
Pb2 0.241 0.500 0.229 [4 per cell]

Largest 8 diffraction maxima, in order of rising 2θ, 2θ = 10–90°:
| d [Å] | 2theta | I/Imax | (hkl) |
| --- | --- | --- | --- |
| 2.906 | 30.76 | 54 | 2 0 -2 |
| 2.833 | 31.58 | 100 | 1 1 1 |
| 2.676 | 33.48 | 43 | 4 0 0 |
| 2.458 | 36.56 | 32 | 2 0 2 |
| 2.420 | 37.16 | 67 | 3 1 -1 |
| 1.781 | 51.28 | 26 | 1 1 -3 |
| 1.672 | 54.90 | 20 | 5 1 1 |
| 1.454 | 64.02 | 20 | 4 2 0 |

Diffraction record for AlPb3. The PXRD pattern is theoretical, not measured: it uses a DFT-relaxed cell (GGA-PBE, Alexandria) and copper Kα.
Lines closer than 0.1° are merged.

Structure:
Lattice parameters (Å, degrees): 7.389 9.567 6.564 90.00 90.00 90.00
Space group Pnma (No. 62)
Unique sites:
Al1 0.105 0.250 0.039 [4 per cell]
Pb1 0.005 0.250 0.577 [4 per cell]
Pb2 0.188 0.543 0.832 [8 per cell]

Largest 8 diffraction maxima, in order of rising 2θ, 2θ = 10–90°:
| d [Å] | 2theta | I/Imax | (hkl) |
| --- | --- | --- | --- |
| 3.425 | 26.01 | 71 | 1 2 1 |
| 3.219 | 27.71 | 38 | 2 0 1 |
| 2.999 | 29.79 | 49 | 1 0 2 |
| 2.924 | 30.57 | 100 | 2 2 0 |
| 2.866 | 31.21 | 95 | 0 3 1 |
| 2.706 | 33.10 | 39 | 0 2 2 |
| 2.672 | 33.54 | 50 | 2 2 1 |
| 2.541 | 35.32 | 55 | 1 2 2 |

Diffraction record for AlPb5. The PXRD pattern is theoretical, not measured: it uses a DFT-relaxed cell (GGA-PBE, Alexandria) and copper Kα.
Lines closer than 0.1° are merged.

Structure:
Lattice parameters (Å, degrees): 4.762 15.203 4.931 90.00 90.00 90.00
Space group Cmmm (No. 65)
Unique sites:
Al1 0.000 0.000 0.000 [2 per cell]
Pb1 0.000 0.161 0.500 [4 per cell]
Pb2 0.000 0.339 0.000 [4 per cell]
Pb3 0.000 0.500 0.500 [2 per cell]

Largest 8 diffraction maxima, in order of rising 2θ, 2θ = 10–90°:
| d [Å] | 2theta | I/Imax | (hkl) |
| --- | --- | --- | --- |
| 2.838 | 31.53 | 100 | 1 3 1 |
| 2.534 | 35.43 | 18 | 0 6 0 |
| 2.465 | 36.45 | 17 | 0 0 2 |
| 2.381 | 37.79 | 16 | 2 0 0 |
| 1.767 | 51.74 | 13 | 0 6 2 |
| 1.515 | 61.17 | 15 | 1 9 1 |
| 1.485 | 62.53 | 15 | 1 3 3 |
| 1.448 | 64.34 | 14 | 3 3 1 |